# AlCdCoF6
Calculated PXRD pattern, Cu Kα (weighted mean of Kα1 and Kα2). Input: the GGA+U geometry in Alexandria.
Kinematic intensities with the Lorentz-polarization factor, no thermal factor.

Cell and atoms:
```
18
Lattice="5.335 0.000 0.000 -2.667 4.620 0.000 0.000 0.000 9.715" Properties=species:S:1:pos:R:3 pbc="T T T"
Al 0.000 3.080 2.429
Al 2.667 1.540 7.287
Cd 0.000 0.000 0.000
Cd 0.000 0.000 4.858
Co 0.000 3.080 7.287
Co 2.667 1.540 2.429
F -0.789 1.776 1.391
F -1.524 3.049 3.467
F 0.789 1.776 3.467
F -0.735 4.416 1.391
F 1.932 0.205 6.249
F 1.143 1.571 8.325
F 1.524 3.049 1.391
F 0.735 4.416 3.467
F 3.403 0.205 8.325
F 1.878 2.844 6.249
F 4.192 1.571 6.249
F 3.456 2.844 8.325
```

Most intense lines, 15 to 90 degrees two-theta, by intensity:
- (1 0 2), 26.63 deg, 3.348 Å, I = 100.0
- (1 1 4), 50.84 deg, 1.796 Å, I = 37.9
- (2 0 2), 43.37 deg, 2.086 Å, I = 23.6
- (1 1 0), 33.60 deg, 2.667 Å, I = 23.2
- (2 1 2), 55.96 deg, 1.643 Å, I = 22.9
- (3 0 0), 60.08 deg, 1.540 Å, I = 13.9
- (2 -1 2), 38.50 deg, 2.338 Å, I = 13.4
- (1 0 0), 19.21 deg, 4.620 Å, I = 12.7
- (4 -1 2), 76.96 deg, 1.239 Å, I = 9.1
- (1 0 6), 60.60 deg, 1.528 Å, I = 8.1